Structure and calculated powder diffractogram of NaMo2PO8 (a PBE+U-relaxed structure; Cu Kα, 1.54184 Å).

Most intense lines, 2θ = 5–70°, most intense first:
| h k l | 2θ/deg | intensity |
| --- | --- | --- |
| 1 1 2 | 35.6 | 100 |
| 1 1 0 | 19.5 | 93 |
| 0 2 0 | 26.6 | 88 |
| 2 0 0 | 28.7 | 72 |
| 1 3 2 | 53.0 | 53 |
| 0 2 2 | 40.2 | 46 |
| 3 1 2 | 55.5 | 43 |
| 3 3 2 | 69.2 | 30 |

Structural model:
```
data_NaMo2PO8
_chemical_formula_sum 'Na2 Mo4 P2 O16'
_space_group_name_H-M_alt 'C m m m'
_space_group_IT_number 65
_space_group_name_Hall '-C 2 2'
_cell_length_a 6.2122
_cell_length_b 6.7059
_cell_length_c 6.0496
_cell_angle_alpha 90.00
_cell_angle_beta 90.00
_cell_angle_gamma 90.00
loop_
_atom_site_label
_atom_site_type_symbol
_atom_site_fract_x
_atom_site_fract_y
_atom_site_fract_z
_atom_site_occupancy
Na1 Na 0.0000 0.0000 0.0000 1
Mo1 Mo 0.0000 0.5000 0.2646 1
P1 P 0.0000 0.0000 0.5000 1
O1 O 0.0000 0.2651 0.5000 1
O2 O 0.0000 0.3242 0.0000 1
O3 O 0.1933 0.0000 0.3028 1
```